Theoretical PXRD pattern
Compound: CuNiI2O
Radiation: Cu Kα X-rays
Structure: a GGA+U-relaxed structure

Atomic structure:
a b c (Å): 5.6255 5.6255 3.5246
angles (deg): 90.00 90.00 90.00
Fractional positions:
Cu 0.0000 0.0000 0.0000
Ni 0.5000 0.5000 0.5000
I 0.0000 0.5000 0.5000
I 0.5000 0.0000 0.5000
O 0.5000 0.5000 0.0000

The 10 most intense peaks (2θ = 10–80°), low angle first:
Position (°2θ), I/Imax
25.27, 29
29.92, 20
31.81, 100
33.98, 76
41.06, 32
45.61, 36
52.85, 15
58.08, 31
62.16, 27
71.53, 18